# GdHoC2
Theoretical XRD peak list, Cu Kα X-rays. Input: the GGA-PBE geometry in Alexandria.
Lines closer than 0.1° are merged.

Largest 8 diffraction maxima, by angle, 10 to 90 degrees two-theta:
Position (°2θ), intensity
30.4, 100
35.2, 67
50.6, 47
60.2, 45
63.2, 16
74.4, 7
82.5, 19
85.1, 21

Atomic structure:
```
data_GdHoC2
_chemical_formula_sum 'Gd3 Ho3 C6'
_symmetry_space_group_name_H-M 'R -3 m'
_symmetry_Int_Tables_number 166
_symmetry_space_group_name_Hall '-R 3 2"'
_cell_length_a 3.6064
_cell_length_b 3.6064
_cell_length_c 17.6479
_cell_angle_alpha 90.00
_cell_angle_beta 90.00
_cell_angle_gamma 120.00
loop_
_atom_site_label
_atom_site_fract_x
_atom_site_fract_y
_atom_site_fract_z
Gd1 0.0000 0.0000 0.0000
Ho1 0.0000 0.0000 0.5000
C1 0.0000 0.0000 0.2494
```